Calculated powder XRD pattern
Compound: Ca2Sm3Pd2
Radiation: Cu Kα X-rays
Structure: DFT lattice parameters and positions (PBE)
Neutral-atom scattering factors, no anomalous dispersion.

The 6 most intense peaks (15° ≤ 2θ ≤ 90°), by angle:
d = 2.995 Å, I = 54
d = 2.898 Å, I = 89
d = 2.767 Å, I = 54
d = 2.733 Å, I = 94
d = 2.570 Å, I = 100
d = 2.384 Å, I = 52

Structure:
```
data_Ca2Sm3Pd2
_chemical_formula_sum 'Ca4 Sm6 Pd4'
_space_group_name_H-M_alt 'C 1 2/m 1'
_space_group_IT_number 12
_cell_length_a 12.796
_cell_length_b 3.949
_cell_length_c 9.247
_cell_angle_alpha 90.00
_cell_angle_beta 117.62
_cell_angle_gamma 90.00
loop_
_space_group_symop_operation_xyz
'x,y,z'
'-x,-y,-z'
'-x,y,-z'
'x,-y,z'
'x+1/2,y+1/2,z'
'-x+1/2,-y+1/2,-z'
'-x+1/2,y+1/2,-z'
'x+1/2,-y+1/2,z'
loop_
_atom_site_label
_atom_site_type_symbol
_atom_site_fract_x
_atom_site_fract_y
_atom_site_fract_z
_atom_site_occupancy
Ca1 Ca 0.163 0.000 0.308 1
Sm1 Sm 0.000 0.500 0.500 1
Sm2 Sm 0.120 0.500 0.940 1
Pd1 Pd 0.165 0.000 0.741 1
```